# 1
Theoretical powder diffractogram of YSnB6C6 for Cu Kα (weighted mean of Kα1 and Kα2), from a crystal structure in Alexandria, relaxed with GGA-PBE.
Neutral-atom scattering factors, no anomalous dispersion.

Most intense lines, 2θ from 10° to 90°, sorted by position:
2theta, intensity
25.97, 100
37.05, 42
45.80, 90
53.41, 16
60.32, 22
72.95, 44
78.91, 7
84.76, 13

Atomic structure:
a b c (Å): 4.8524 4.8524 4.8524
angles (deg): 90.00 90.00 90.00
Atoms (fractional coordinates):
Y 0.0000 0.0000 0.0000
Sn 0.5000 0.5000 0.5000
B 0.0000 0.5000 0.2519
B 0.0000 0.5000 0.7481
B 0.2519 0.0000 0.5000
B 0.5000 0.2519 0.0000
B 0.5000 0.7481 0.0000
B 0.7481 0.0000 0.5000
C 0.0000 0.2451 0.5000
C 0.0000 0.7549 0.5000
C 0.2451 0.5000 0.0000
C 0.5000 0.0000 0.2451
C 0.5000 0.0000 0.7549
C 0.7549 0.5000 0.0000

# 2
Theoretical powder diffractogram of Sr2B6C3 for Cu Kα (weighted mean of Kα1 and Kα2), from a crystal structure in Alexandria, relaxed with GGA-PBE.
Neutral-atom scattering factors, no anomalous dispersion.

Most intense lines, 2θ from 10° to 90°, sorted by position:
2theta, intensity
15.18, 22
26.45, 100
30.64, 28
33.85, 32
40.47, 93
40.91, 29
46.69, 26
56.54, 21

Atomic structure:
a b c (Å): 6.7393 6.7393 2.9717
angles (deg): 90.00 90.00 120.00
Atoms (fractional coordinates):
Sr 0.3333 0.6667 0.0000
Sr 0.6667 0.3333 0.0000
B 0.0000 0.1510 0.0000
B 0.0000 0.7607 0.5000
B 0.1510 0.0000 0.0000
B 0.2393 0.2393 0.5000
B 0.7607 0.0000 0.5000
B 0.8490 0.8490 0.0000
C 0.0000 0.2521 0.5000
C 0.2521 0.0000 0.5000
C 0.7479 0.7479 0.5000

# 3
Theoretical powder diffractogram of SrB4C2 for Cu Kα (weighted mean of Kα1 and Kα2), from a crystal structure in Alexandria, relaxed with GGA-PBE.
Neutral-atom scattering factors, no anomalous dispersion.

Most intense lines, 2θ from 10° to 90°, sorted by position:
2theta, intensity
20.43, 39
23.68, 78
29.05, 29
37.83, 100
41.55, 16
46.72, 16
48.42, 29
57.46, 23

Atomic structure:
a b c (Å): 6.1479 6.1479 4.7469
angles (deg): 90.00 90.00 90.00
Atoms (fractional coordinates):
Sr 0.0000 0.0000 0.0000
Sr 0.5000 0.5000 0.5000
B 0.0553 0.3813 0.5000
B 0.1187 0.5553 0.0000
B 0.3813 0.0553 0.5000
B 0.4447 0.8813 0.0000
B 0.5553 0.1187 0.0000
B 0.6187 0.9447 0.5000
B 0.8813 0.4447 0.0000
B 0.9447 0.6187 0.5000
C 0.1968 0.1968 0.5000
C 0.3032 0.6968 0.0000
C 0.6968 0.3032 0.0000
C 0.8032 0.8032 0.5000

# 4
Theoretical powder diffractogram of SrB4C4 for Cu Kα (weighted mean of Kα1 and Kα2), from a crystal structure in Alexandria, relaxed with GGA-PBE.
Neutral-atom scattering factors, no anomalous dispersion.

Most intense lines, 2θ from 10° to 90°, sorted by position:
2theta, intensity
17.19, 84
24.40, 36
33.91, 41
34.77, 22
39.04, 74
42.21, 100
56.39, 21
72.89, 36

Atomic structure:
a b c (Å): 5.3510 5.3510 5.3510
angles (deg): 94.03 94.03 149.26
Atoms (fractional coordinates):
Sr 0.0000 0.0000 0.0000
B 0.1797 0.3700 0.5497
B 0.3700 0.8203 0.1904
B 0.6300 0.1797 0.8096
B 0.8203 0.6300 0.4503
C 0.2025 0.5989 0.8014
C 0.4011 0.2025 0.6035
C 0.5989 0.7975 0.3965
C 0.7975 0.4011 0.1986